1.
The following is a computed X-ray diffraction stick pattern of Sr2Be2RuO6. It was derived from the PBE geometry in Alexandria, using Cu Ka.
Neutral-atom scattering factors, no anomalous dispersion.

```
data_Sr2Be2RuO6
_symmetry_space_group_name_H-M 'R -3 m'
_symmetry_Int_Tables_number 166
_symmetry_space_group_name_Hall '-R 3 2"'
_cell_length_a 5.3880
_cell_length_b 5.3880
_cell_length_c 15.7249
_cell_angle_alpha 90.00
_cell_angle_beta 90.00
_cell_angle_gamma 120.00
loop_
_atom_site_label
_atom_site_type_symbol
_atom_site_fract_x
_atom_site_fract_y
_atom_site_fract_z
Sr1 Sr 0.0000 0.0000 0.2191
Be1 Be 0.0000 0.0000 0.4131
Ru1 Ru 0.0000 0.0000 0.0000
O1 O 0.0045 0.5022 0.2530
```

Peak list (12 most intense, 2θ = 10–90°, sorted by position)
(hkl), two_theta, d [Å], intensity
1 0 1, 19.8, 4.473, 84
1 0 4, 29.7, 3.006, 71
1 1 0, 33.3, 2.694, 100
0 1 5, 34.4, 2.608, 96
2 0 2, 40.3, 2.237, 20
0 2 4, 45.2, 2.006, 62
2 0 5, 48.6, 1.874, 32
2 1 4, 57.3, 1.609, 23
3 0 0, 59.4, 1.555, 19
1 2 5, 60.2, 1.538, 35
1 1 9, 63.5, 1.466, 35
2 2 0, 69.8, 1.347, 23

---

2.
The following is a computed X-ray diffraction stick pattern of Be2Tl2RuO6. It was derived from the PBE geometry in Alexandria, using Cu Ka.
Neutral-atom scattering factors, no anomalous dispersion.

```
data_Be2Tl2RuO6
_symmetry_space_group_name_H-M 'R -3 m'
_symmetry_Int_Tables_number 166
_symmetry_space_group_name_Hall '-R 3 2"'
_cell_length_a 5.3793
_cell_length_b 5.3793
_cell_length_c 17.3593
_cell_angle_alpha 90.00
_cell_angle_beta 90.00
_cell_angle_gamma 120.00
loop_
_atom_site_label
_atom_site_type_symbol
_atom_site_fract_x
_atom_site_fract_y
_atom_site_fract_z
Be1 Be 0.0000 0.0000 0.1045
Tl1 Tl 0.0000 0.0000 0.2869
Ru1 Ru 0.0000 0.0000 0.5000
O1 O 0.0019 0.5009 0.7666
```

Peak list (12 most intense, 2θ = 10–90°, sorted by position)
(hkl), two_theta, d [Å], intensity
1 0 1, 19.7, 4.499, 47
0 1 2, 21.7, 4.105, 47
1 0 4, 28.1, 3.175, 51
0 1 5, 32.2, 2.784, 100
1 1 0, 33.3, 2.690, 84
2 0 2, 40.1, 2.250, 26
1 0 7, 41.2, 2.189, 20
0 2 4, 44.1, 2.052, 29
2 0 5, 47.0, 1.934, 27
1 2 5, 58.8, 1.570, 35
1 1 9, 58.9, 1.567, 31
3 0 0, 59.5, 1.553, 17

---

3.
The following is a computed X-ray diffraction stick pattern of BeSO8. It was derived from the PBE geometry in Alexandria, using Cu Ka.
Neutral-atom scattering factors, no anomalous dispersion.

```
data_BeSO8
_symmetry_space_group_name_H-M 'I -4 c 2'
_symmetry_Int_Tables_number 120
_symmetry_space_group_name_Hall 'I -4 -2c'
_cell_length_a 8.0347
_cell_length_b 8.0347
_cell_length_c 8.7923
_cell_angle_alpha 90.00
_cell_angle_beta 90.00
_cell_angle_gamma 90.00
loop_
_atom_site_label
_atom_site_type_symbol
_atom_site_fract_x
_atom_site_fract_y
_atom_site_fract_z
Be1 Be 0.0000 0.0000 0.0000
S1 S 0.0000 0.5000 0.2500
O1 O 0.0792 0.3697 0.3465
O2 O 0.0857 0.1249 0.8808
```

Peak list (12 most intense, 2θ = 10–90°, sorted by position)
(hkl), two_theta, d [Å], intensity
1 1 0, 15.6, 5.681, 30
0 0 2, 20.2, 4.396, 25
2 0 0, 22.1, 4.017, 100
1 1 2, 25.6, 3.477, 83
2 1 1, 26.8, 3.326, 38
2 0 2, 30.1, 2.966, 36
2 1 3, 39.7, 2.271, 25
0 0 4, 41.0, 2.199, 20
3 2 1, 41.8, 2.160, 44
3 2 3, 51.5, 1.774, 27
4 2 2, 55.2, 1.663, 10
4 0 4, 62.6, 1.483, 22

---

4.
The following is a computed X-ray diffraction stick pattern of Be3Zn4Si3SO12. It was derived from the PBE geometry in Alexandria, using Cu Ka.
Neutral-atom scattering factors, no anomalous dispersion.

```
data_Be3Zn4Si3SO12
_symmetry_space_group_name_H-M 'P -4 3 n'
_symmetry_Int_Tables_number 218
_symmetry_space_group_name_Hall 'P -4n 2 3'
_cell_length_a 8.1964
_cell_length_b 8.1964
_cell_length_c 8.1964
_cell_angle_alpha 90.00
_cell_angle_beta 90.00
_cell_angle_gamma 90.00
loop_
_atom_site_label
_atom_site_type_symbol
_atom_site_fract_x
_atom_site_fract_y
_atom_site_fract_z
Be1 Be 0.0000 0.2500 0.5000
Zn1 Zn 0.1659 0.1659 0.1659
Si1 Si 0.0000 0.5000 0.2500
S1 S 0.0000 0.0000 0.0000
O1 O 0.0930 0.3619 0.6378
```

Peak list (12 most intense, 2θ = 10–90°, sorted by position)
(hkl), two_theta, d [Å], intensity
2 1 1, 26.6, 3.346, 100
3 1 0, 34.6, 2.592, 18
3 2 1, 41.2, 2.191, 20
3 3 0, 47.0, 1.932, 44
4 2 2, 54.9, 1.673, 11
5 2 1, 62.0, 1.496, 11
4 4 0, 64.3, 1.449, 9
5 3 0, 66.5, 1.406, 8
6 0 0, 68.7, 1.366, 10
5 3 2, 70.9, 1.330, 7
5 4 1, 75.1, 1.265, 11
6 3 3, 87.4, 1.115, 12